Structure and calculated powder diffraction line list of La3PaPt4 (a DFT-relaxed cell (PBE, Alexandria); Cu Kα).
Intensities are scaled so that the largest is 100.

Main lines, by intensity (10 to 90 degrees two-theta):
2θ/deg  d [Å]  I_rel  hkl
30.01  2.977  100  1 2 1
43.06  2.101  37  1 2 -3
42.86  2.110  37  0 4 0
53.21  1.721  19  2 4 -2
70.62  1.334  16  1 6 1
62.38  1.489  12  2 4 2
70.88  1.330  11  0 4 4
78.55  1.218  10  3 6 -1
78.71  1.216  8  1 6 -3
53.54  1.712  7  0 0 4

Cell and atoms:
```
data_La3PaPt4
_chemical_formula_sum 'La6 Pa2 Pt8'
_symmetry_space_group_name_H-M 'P 1'
_symmetry_Int_Tables_number 1
_symmetry_space_group_name_Hall 'P 1'
_cell_length_a 7.312
_cell_length_b 8.435
_cell_length_c 7.263
_cell_angle_alpha 90.00
_cell_angle_beta 109.51
_cell_angle_gamma 90.00
loop_
_atom_site_label
_atom_site_type_symbol
_atom_site_fract_x
_atom_site_fract_y
_atom_site_fract_z
La1 La 0.000 0.125 0.250
La2 La 0.000 0.374 0.750
La3 La 0.000 0.626 0.250
La4 La 0.000 0.875 0.750
La5 La 0.500 0.374 0.250
La6 La 0.500 0.626 0.750
Pa1 Pa 0.500 0.123 0.750
Pa2 Pa 0.500 0.877 0.250
Pt1 Pt 0.260 0.363 0.514
Pt2 Pt 0.260 0.637 0.014
Pt3 Pt 0.270 0.114 0.997
Pt4 Pt 0.270 0.886 0.497
Pt5 Pt 0.730 0.114 0.503
Pt6 Pt 0.730 0.886 0.003
Pt7 Pt 0.740 0.363 0.986
Pt8 Pt 0.740 0.637 0.486
```